1.
This entry pairs a crystal structure of Pm12NdHo2 with its calculated X-ray powder pattern. Radiation: Cu Kα, 1.54184 Å. Structure: a DFT-relaxed cell (PBE, Alexandria).
Lines closer than 0.1° are merged.

Main lines, in order of rising 2θ (2θ from 10° to 80°):
2θ (°), d [Å], I/Imax
28.28, 3.156, 100
29.36, 3.042, 75
30.80, 2.903, 99
31.19, 2.867, 74
31.36, 2.853, 61
31.53, 2.838, 62
32.33, 2.769, 57
32.64, 2.744, 62
37.27, 2.413, 41
38.84, 2.319, 36
39.39, 2.288, 35
55.25, 1.663, 35

Structural model:
Cell lengths 6.5145, 6.5145, 25.5400 Å; angles 90.00, 90.00, 90.76 degrees
Element x y z (fractional)
Pm1 0.0659 0.9341 0.8864
Pm2 0.0684 0.5684 0.1185
Pm3 0.0821 0.5821 0.4376
Pm4 0.0820 0.9180 0.5616
Pm5 0.2500 0.2500 0.2167
Pm6 0.2500 0.2500 0.3381
Pm7 0.2500 0.2500 0.6619
Pm8 0.2500 0.2500 0.7833
Pm9 0.4180 0.5820 0.5616
Pm10 0.4179 0.9179 0.4376
Pm11 0.4316 0.9316 0.1185
Pm12 0.4341 0.5659 0.8864
Pm13 0.5659 0.4341 0.1136
Pm14 0.5684 0.0684 0.8815
Pm15 0.5821 0.0821 0.5624
Pm16 0.5820 0.4180 0.4384
Pm17 0.7500 0.7500 0.2167
Pm18 0.7500 0.7500 0.3381
Pm19 0.7500 0.7500 0.6619
Pm20 0.7500 0.7500 0.7833
Pm21 0.9180 0.0820 0.4384
Pm22 0.9179 0.4179 0.5624
Pm23 0.9316 0.4316 0.8815
Pm24 0.9341 0.0659 0.1136
Nd1 0.2500 0.7500 0.0016
Nd2 0.7500 0.2500 0.9984
Ho1 0.2500 0.7500 0.2740
Ho2 0.2500 0.7500 0.7258
Ho3 0.7500 0.2500 0.2742
Ho4 0.7500 0.2500 0.7260



2.
This entry pairs a crystal structure of Pm2DyYEr2 with its calculated X-ray powder pattern. Radiation: Cu Kα, 1.54184 Å. Structure: a DFT-relaxed cell (PBE, Alexandria).
Lines closer than 0.1° are merged.

Main lines, in order of rising 2θ (2θ from 10° to 80°):
2θ (°), d [Å], I/Imax
25.41, 3.505, 12
31.42, 2.847, 83
31.74, 2.819, 100
41.09, 2.196, 21
45.27, 2.003, 30
52.20, 1.752, 8
56.35, 1.633, 32
56.55, 1.627, 19
62.40, 1.488, 29
62.97, 1.476, 6
66.32, 1.409, 12
75.23, 1.263, 13

Structural model:
Cell lengths 7.0092, 5.6402, 9.7600 Å; angles 90.00, 90.00, 90.00 degrees
Element x y z (fractional)
Pm1 0.0000 0.0000 0.0000
Pm2 0.2500 0.5000 0.1745
Pm3 0.5000 0.0000 0.0000
Pm4 0.7500 0.5000 0.8255
Dy1 0.2500 0.0000 0.6607
Dy2 0.7500 0.0000 0.3393
Y1 0.0000 0.5000 0.5000
Y2 0.5000 0.5000 0.5000
Er1 0.2500 0.0000 0.3313
Er2 0.2500 0.5000 0.8365
Er3 0.7500 0.0000 0.6687
Er4 0.7500 0.5000 0.1635



3.
This entry pairs a crystal structure of Ac3YHo with its calculated X-ray powder pattern. Radiation: Cu Kα, 1.54184 Å. Structure: a DFT-relaxed cell (PBE, Alexandria).
Lines closer than 0.1° are merged.

Main lines, in order of rising 2θ (2θ from 10° to 80°):
2θ (°), d [Å], I/Imax
24.29, 3.665, 45
26.11, 3.412, 100
26.96, 3.308, 28
28.96, 3.083, 57
29.28, 3.050, 49
30.96, 2.889, 64
31.72, 2.821, 36
34.12, 2.628, 20
40.77, 2.213, 23
46.51, 1.952, 26
50.80, 1.797, 23
58.67, 1.574, 23

Structural model:
Cell lengths 6.5274, 9.4012, 13.2711 Å; angles 90.00, 90.00, 90.00 degrees
Element x y z (fractional)
Ac1 0.0891 0.1730 0.0743
Ac2 0.0891 0.3270 0.4257
Ac3 0.1395 0.2500 0.7500
Ac4 0.3605 0.7500 0.7500
Ac5 0.4109 0.6730 0.4257
Ac6 0.4109 0.8270 0.0743
Ac7 0.5891 0.1730 0.9257
Ac8 0.5891 0.3270 0.5743
Ac9 0.6395 0.2500 0.2500
Ac10 0.8605 0.7500 0.2500
Ac11 0.9109 0.6730 0.5743
Ac12 0.9109 0.8270 0.9257
Y1 0.2500 0.0000 0.5570
Y2 0.2500 0.5000 0.9430
Y3 0.7500 0.0000 0.4430
Y4 0.7500 0.5000 0.0570
Ho1 0.2500 0.0000 0.3058
Ho2 0.2500 0.5000 0.1942
Ho3 0.7500 0.0000 0.6942
Ho4 0.7500 0.5000 0.8058